No. 1
Structure and simulated powder X-ray diffraction pattern of KNiPt2 (DFT lattice parameters and positions (PBE); λ = 1.5418 Å (Cu Kα)).

Main lines, low angle first (10° ≤ 2θ ≤ 90°):
2θ/deg	d (Å)	I_rel
10.21	8.663	92
20.50	4.332	23
30.97	2.888	28
31.40	2.849	41
37.80	2.380	100
44.68	2.028	56
45.00	2.014	48
55.63	1.652	22
78.21	1.222	23
82.81	1.166	19

Cell and atoms:
a = 2.8489 Å, b = 2.8489 Å, c = 8.6631 Å
α = 90.00°, β = 90.00°, γ = 90.00°
Fractional positions:
K  0.0000  0.0000  0.0000
Ni  0.0000  0.0000  0.5000
Pt  0.5000  0.5000  0.3085
Pt  0.5000  0.5000  0.6915

No. 2
Structure and simulated powder X-ray diffraction pattern of Y2HoTh3Bi6 (DFT lattice parameters and positions (PBE); λ = 1.5418 Å (Cu Kα)).

Main lines, low angle first (10° ≤ 2θ ≤ 90°):
2θ/deg	d (Å)	I_rel
27.81	3.208	100
39.67	2.272	40
39.81	2.264	39
49.14	1.854	22
49.39	1.845	7
57.46	1.604	14
64.91	1.436	19
65.08	1.433	12
72.02	1.311	17
72.38	1.306	7

Cell and atoms:
a = 10.1418 Å, b = 10.1418 Å, c = 9.0466 Å
α = 102.66°, β = 102.66°, γ = 25.90°
Fractional positions:
Y  0.1666  0.1666  0.3331
Y  0.8334  0.8334  0.6669
Ho  0.5000  0.5000  0.0000
Th  0.1671  0.1671  0.8331
Th  0.5000  0.5000  0.5000
Th  0.8329  0.8329  0.1669
Bi  0.0018  0.0018  0.2437
Bi  0.3313  0.3313  0.4220
Bi  0.3360  0.3360  0.9123
Bi  0.6640  0.6640  0.0877
Bi  0.6687  0.6687  0.5780
Bi  0.9982  0.9982  0.7563

No. 3
Structure and simulated powder X-ray diffraction pattern of Pa2Sn4S9 (DFT lattice parameters and positions (PBE); λ = 1.5418 Å (Cu Kα)).

Main lines, low angle first (10° ≤ 2θ ≤ 90°):
2θ/deg	d (Å)	I_rel
14.30	6.192	31
17.22	5.151	44
23.97	3.713	94
24.90	3.575	100
28.85	3.095	24
34.84	2.575	48
38.49	2.339	86
43.30	2.090	50
43.86	2.064	49
59.75	1.548	25

Cell and atoms:
a = 7.1508 Å, b = 7.1508 Å, c = 18.5575 Å
α = 90.00°, β = 90.00°, γ = 59.99°
Fractional positions:
Pa  0.0002  0.9997  0.1500
Pa  0.0003  0.9998  0.3500
Pa  0.9997  0.0002  0.6500
Pa  0.9998  0.0003  0.8500
Sn  0.3335  0.3334  0.0191
Sn  0.3334  0.3335  0.5191
Sn  0.3328  0.3337  0.8182
Sn  0.3337  0.3328  0.3182
Sn  0.6663  0.6672  0.6818
Sn  0.6672  0.6663  0.1818
Sn  0.6666  0.6665  0.4809
Sn  0.6665  0.6666  0.9809
S  0.0005  0.7249  0.2499
S  0.0395  0.6527  0.9138
S  0.0399  0.3078  0.4138
S  0.2747  0.7253  0.7500
S  0.2751  0.9995  0.2501
S  0.3078  0.0399  0.9138
S  0.3082  0.6520  0.4137
S  0.3473  0.9605  0.5862
S  0.3480  0.6918  0.0863
S  0.6520  0.3082  0.9137
S  0.6527  0.0395  0.4138
S  0.6918  0.3480  0.5863
S  0.6922  0.9601  0.0862
S  0.7249  0.0005  0.7499
S  0.7253  0.2747  0.2500
S  0.9601  0.6922  0.5862
S  0.9605  0.3473  0.0862
S  0.9995  0.2751  0.7501

No. 4
Structure and simulated powder X-ray diffraction pattern of SmMgGa2Cu2 (DFT lattice parameters and positions (PBE); λ = 1.5418 Å (Cu Kα)).

Main lines, low angle first (10° ≤ 2θ ≤ 90°):
2θ/deg	d (Å)	I_rel
27.33	3.263	59
35.43	2.534	100
38.78	2.322	16
42.39	2.132	73
51.18	1.785	11
56.40	1.631	26
58.80	1.571	27
69.72	1.349	13
73.03	1.296	23
77.55	1.231	11

Cell and atoms:
a = 4.2643 Å, b = 4.2643 Å, c = 6.9662 Å
α = 90.00°, β = 90.00°, γ = 120.00°
Fractional positions:
Sm  0.0000  0.0000  0.0000
Mg  0.0000  0.0000  0.5000
Ga  0.3333  0.6667  0.2816
Ga  0.6667  0.3333  0.7184
Cu  0.3333  0.6667  0.6928
Cu  0.6667  0.3333  0.3072

No. 5
Structure and simulated powder X-ray diffraction pattern of Na3Bi4Pt4 (DFT lattice parameters and positions (PBE); λ = 1.5418 Å (Cu Kα)).

Main lines, low angle first (10° ≤ 2θ ≤ 90°):
2θ/deg	d (Å)	I_rel
11.49	7.699	24
20.72	4.288	100
30.90	2.894	55
32.79	2.731	28
34.96	2.566	24
35.12	2.555	42
40.49	2.228	34
41.69	2.166	43
42.46	2.129	33
46.02	1.972	25

Cell and atoms:
a = 8.9254 Å, b = 8.9254 Å, c = 8.9254 Å
α = 151.09°, β = 127.78°, γ = 60.79°
Fractional positions:
Na  0.0000  0.0000  0.0000
Na  0.3956  0.8956  0.5000
Na  0.6044  0.1044  0.5000
Bi  0.0465  0.3347  0.7117
Bi  0.3770  0.6653  0.7117
Bi  0.6230  0.3347  0.2883
Bi  0.9535  0.6653  0.2883
Pt  0.2122  0.2122  0.0000
Pt  0.3274  0.5000  0.8274
Pt  0.6726  0.5000  0.1726
Pt  0.7878  0.7878  0.0000

No. 6
Structure and simulated powder X-ray diffraction pattern of YZnPS (DFT lattice parameters and positions (PBE); λ = 1.5418 Å (Cu Kα)).

Main lines, low angle first (10° ≤ 2θ ≤ 90°):
2θ/deg	d (Å)	I_rel
13.38	6.619	34
26.99	3.303	34
27.84	3.205	76
29.98	2.980	47
31.25	2.862	26
34.13	2.627	97
39.13	2.302	60
44.82	2.022	100
46.74	1.944	36
57.37	1.606	31

Cell and atoms:
a = 13.4427 Å, b = 13.4427 Å, c = 13.4427 Å
α = 17.30°, β = 17.30°, γ = 17.30°
Fractional positions:
Y  0.0894  0.0894  0.0894
Y  0.9106  0.9106  0.9106
Zn  0.3104  0.3104  0.3104
Zn  0.6896  0.6896  0.6896
P  0.3743  0.3743  0.3743
P  0.6257  0.6257  0.6257
S  0.2133  0.2133  0.2133
S  0.7867  0.7867  0.7867

No. 7
Structure and simulated powder X-ray diffraction pattern of Sm5Dy2Th2 (DFT lattice parameters and positions (PBE); λ = 1.5418 Å (Cu Kα)).

Main lines, low angle first (10° ≤ 2θ ≤ 90°):
2θ/deg	d (Å)	I_rel
10.99	8.048	52
27.72	3.218	55
29.19	3.059	36
29.93	2.986	86
30.69	2.913	100
31.23	2.864	39
33.50	2.675	60
34.23	2.619	93
35.61	2.521	84
53.48	1.714	41

Cell and atoms:
a = 11.8817 Å, b = 11.8817 Å, c = 8.2665 Å
α = 103.07°, β = 103.07°, γ = 16.93°
Fractional positions:
Sm  0.0000  0.0000  0.0000
Sm  0.0912  0.0912  0.7410
Sm  0.3034  0.3034  0.4311
Sm  0.6966  0.6966  0.5689
Sm  0.9088  0.9088  0.2590
Dy  0.1563  0.1563  0.1911
Dy  0.8437  0.8437  0.8089
Th  0.4489  0.4489  0.6294
Th  0.5511  0.5511  0.3706

No. 8
Structure and simulated powder X-ray diffraction pattern of Al5NiPt2 (DFT lattice parameters and positions (PBE); λ = 1.5418 Å (Cu Kα)).

Main lines, low angle first (10° ≤ 2θ ≤ 90°):
2θ/deg	d (Å)	I_rel
14.47	6.119	37
25.22	3.531	100
34.45	2.603	34
40.45	2.230	45
43.18	2.095	28
44.35	2.043	13
44.48	2.037	27
50.62	1.803	20
70.73	1.332	11
81.99	1.175	15

Cell and atoms:
a = 12.2553 Å, b = 5.7528 Å, c = 7.0490 Å
α = 90.00°, β = 90.00°, γ = 90.00°
Fractional positions:
Al  0.0019  0.2500  0.0883
Al  0.1253  0.5132  0.3433
Al  0.1253  0.9868  0.3433
Al  0.1572  0.2500  0.6759
Al  0.1866  0.7500  0.6800
Al  0.3134  0.2500  0.1800
Al  0.3428  0.7500  0.1759
Al  0.3747  0.0132  0.8433
Al  0.3747  0.4868  0.8433
Al  0.4981  0.7500  0.5883
Al  0.5019  0.2500  0.4117
Al  0.6253  0.5132  0.1567
Al  0.6253  0.9868  0.1567
Al  0.6572  0.2500  0.8241
Al  0.6866  0.7500  0.8200
Al  0.8134  0.2500  0.3200
Al  0.8428  0.7500  0.3241
Al  0.8747  0.0132  0.6567
Al  0.8747  0.4868  0.6567
Al  0.9981  0.7500  0.9117
Ni  0.0069  0.7500  0.5395
Ni  0.4931  0.2500  0.0395
Ni  0.5069  0.7500  0.9605
Ni  0.9931  0.2500  0.4605
Pt  0.1727  0.5014  0.9887
Pt  0.1727  0.9986  0.9887
Pt  0.3273  0.0014  0.4887
Pt  0.3273  0.4986  0.4887
Pt  0.6727  0.5014  0.5113
Pt  0.6727  0.9986  0.5113
Pt  0.8273  0.0014  0.0113
Pt  0.8273  0.4986  0.0113

Copy entry 3 word for word.
Structure and simulated powder X-ray diffraction pattern of Pa2Sn4S9 (DFT lattice parameters and positions (PBE); λ = 1.5418 Å (Cu Kα)).

Main lines, low angle first (10° ≤ 2θ ≤ 90°):
2θ/deg	d (Å)	I_rel
14.30	6.192	31
17.22	5.151	44
23.97	3.713	94
24.90	3.575	100
28.85	3.095	24
34.84	2.575	48
38.49	2.339	86
43.30	2.090	50
43.86	2.064	49
59.75	1.548	25

Cell and atoms:
a = 7.1508 Å, b = 7.1508 Å, c = 18.5575 Å
α = 90.00°, β = 90.00°, γ = 59.99°
Fractional positions:
Pa  0.0002  0.9997  0.1500
Pa  0.0003  0.9998  0.3500
Pa  0.9997  0.0002  0.6500
Pa  0.9998  0.0003  0.8500
Sn  0.3335  0.3334  0.0191
Sn  0.3334  0.3335  0.5191
Sn  0.3328  0.3337  0.8182
Sn  0.3337  0.3328  0.3182
Sn  0.6663  0.6672  0.6818
Sn  0.6672  0.6663  0.1818
Sn  0.6666  0.6665  0.4809
Sn  0.6665  0.6666  0.9809
S  0.0005  0.7249  0.2499
S  0.0395  0.6527  0.9138
S  0.0399  0.3078  0.4138
S  0.2747  0.7253  0.7500
S  0.2751  0.9995  0.2501
S  0.3078  0.0399  0.9138
S  0.3082  0.6520  0.4137
S  0.3473  0.9605  0.5862
S  0.3480  0.6918  0.0863
S  0.6520  0.3082  0.9137
S  0.6527  0.0395  0.4138
S  0.6918  0.3480  0.5863
S  0.6922  0.9601  0.0862
S  0.7249  0.0005  0.7499
S  0.7253  0.2747  0.2500
S  0.9601  0.6922  0.5862
S  0.9605  0.3473  0.0862
S  0.9995  0.2751  0.7501

Repeat the seventh record exactly.
Structure and simulated powder X-ray diffraction pattern of Sm5Dy2Th2 (DFT lattice parameters and positions (PBE); λ = 1.5418 Å (Cu Kα)).

Main lines, low angle first (10° ≤ 2θ ≤ 90°):
2θ/deg	d (Å)	I_rel
10.99	8.048	52
27.72	3.218	55
29.19	3.059	36
29.93	2.986	86
30.69	2.913	100
31.23	2.864	39
33.50	2.675	60
34.23	2.619	93
35.61	2.521	84
53.48	1.714	41

Cell and atoms:
a = 11.8817 Å, b = 11.8817 Å, c = 8.2665 Å
α = 103.07°, β = 103.07°, γ = 16.93°
Fractional positions:
Sm  0.0000  0.0000  0.0000
Sm  0.0912  0.0912  0.7410
Sm  0.3034  0.3034  0.4311
Sm  0.6966  0.6966  0.5689
Sm  0.9088  0.9088  0.2590
Dy  0.1563  0.1563  0.1911
Dy  0.8437  0.8437  0.8089
Th  0.4489  0.4489  0.6294
Th  0.5511  0.5511  0.3706

Please write out number 3 again, unchanged.
Structure and simulated powder X-ray diffraction pattern of Pa2Sn4S9 (DFT lattice parameters and positions (PBE); λ = 1.5418 Å (Cu Kα)).

Main lines, low angle first (10° ≤ 2θ ≤ 90°):
2θ/deg	d (Å)	I_rel
14.30	6.192	31
17.22	5.151	44
23.97	3.713	94
24.90	3.575	100
28.85	3.095	24
34.84	2.575	48
38.49	2.339	86
43.30	2.090	50
43.86	2.064	49
59.75	1.548	25

Cell and atoms:
a = 7.1508 Å, b = 7.1508 Å, c = 18.5575 Å
α = 90.00°, β = 90.00°, γ = 59.99°
Fractional positions:
Pa  0.0002  0.9997  0.1500
Pa  0.0003  0.9998  0.3500
Pa  0.9997  0.0002  0.6500
Pa  0.9998  0.0003  0.8500
Sn  0.3335  0.3334  0.0191
Sn  0.3334  0.3335  0.5191
Sn  0.3328  0.3337  0.8182
Sn  0.3337  0.3328  0.3182
Sn  0.6663  0.6672  0.6818
Sn  0.6672  0.6663  0.1818
Sn  0.6666  0.6665  0.4809
Sn  0.6665  0.6666  0.9809
S  0.0005  0.7249  0.2499
S  0.0395  0.6527  0.9138
S  0.0399  0.3078  0.4138
S  0.2747  0.7253  0.7500
S  0.2751  0.9995  0.2501
S  0.3078  0.0399  0.9138
S  0.3082  0.6520  0.4137
S  0.3473  0.9605  0.5862
S  0.3480  0.6918  0.0863
S  0.6520  0.3082  0.9137
S  0.6527  0.0395  0.4138
S  0.6918  0.3480  0.5863
S  0.6922  0.9601  0.0862
S  0.7249  0.0005  0.7499
S  0.7253  0.2747  0.2500
S  0.9601  0.6922  0.5862
S  0.9605  0.3473  0.0862
S  0.9995  0.2751  0.7501